1.
Diffraction record for Cs2KGaSn2. The powder XRD pattern is theoretical, not measured: it uses a PBE-relaxed structure and Cu Kα.
Neutral-atom scattering factors, no anomalous dispersion.

The 6 most intense peaks (2θ = 10–90°), by angle:
index	d (Å)	Rel. int.
0 1 3	3.684	27
1 0 2	3.624	36
1 1 2	3.376	64
0 3 0	3.100	27
1 2 2	2.859	100
1 3 3	2.158	27

Cell and atoms:
Cell: 4.538 9.300 12.038 Å, 90.00 90.00 90.00°
Fractional positions:
Cs (0.000, 0.144, 0.000)
Cs (0.000, 0.856, 0.500)
Cs (0.500, 0.186, 0.674)
Cs (0.500, 0.814, 0.174)
K (0.500, 0.497, 0.000)
K (0.500, 0.503, 0.500)
Ga (0.000, 0.245, 0.419)
Ga (0.000, 0.755, 0.919)
Sn (0.000, 0.460, 0.258)
Sn (0.000, 0.540, 0.758)
Sn (0.500, 0.235, 0.248)
Sn (0.500, 0.765, 0.748)

2.
Diffraction record for Cs3LaGa2O6. The powder XRD pattern is theoretical, not measured: it uses a PBE-relaxed structure and Cu Kα.
Neutral-atom scattering factors, no anomalous dispersion.

The 6 most intense peaks (2θ = 10–90°), by angle:
index	d (Å)	Rel. int.
1 1 0	3.214	100
0 2 2	2.273	22
3 0 0	1.854	30
1 1 4	1.681	11
1 3 2	1.436	9
4 1 0	1.213	10

Cell and atoms:
Cell: 6.419 6.419 7.895 Å, 90.00 90.00 120.00°
Fractional positions:
Cs (0.000, 0.000, 0.000)
Cs (0.333, 0.667, 0.753)
Cs (0.667, 0.333, 0.247)
La (0.000, 0.000, 0.500)
Ga (0.333, 0.667, 0.308)
Ga (0.667, 0.333, 0.692)
O (0.172, 0.344, 0.308)
O (0.172, 0.828, 0.308)
O (0.344, 0.172, 0.692)
O (0.656, 0.828, 0.308)
O (0.828, 0.172, 0.692)
O (0.828, 0.656, 0.692)

3.
Diffraction record for CsLa2Ga2S6. The powder XRD pattern is theoretical, not measured: it uses a PBE-relaxed structure and Cu Kα.
Neutral-atom scattering factors, no anomalous dispersion.

The 6 most intense peaks (2θ = 10–90°), by angle:
index	d (Å)	Rel. int.
0 1 -1	6.543	98
-1 1 1	4.000	53
2 -1 0	3.849	72
1 1 0	3.548	100
2 -2 1	3.272	57
2 -1 3	1.923	56

Cell and atoms:
Cell: 7.703 7.911 7.933 Å, 119.16 90.69 116.90°
Fractional positions:
Cs (0.000, 0.000, 0.000)
La (0.315, 0.631, 0.679)
La (0.685, 0.369, 0.321)
Ga (0.348, 0.800, 0.343)
Ga (0.652, 0.200, 0.657)
S (0.095, 0.752, 0.495)
S (0.352, 0.878, 0.107)
S (0.436, 0.549, 0.314)
S (0.564, 0.451, 0.686)
S (0.648, 0.122, 0.893)
S (0.905, 0.248, 0.505)